This entry pairs a crystal structure of PmSmY2Sc with its theoretical X-ray powder pattern. Radiation: Cu Ka. Structure: a DFT-relaxed cell (PBE, Alexandria).
Neutral-atom scattering factors, no anomalous dispersion.

Principal peaks in the range 2θ from 15° to 90°, by angle:
21.49 deg, intensity 22
26.70 deg, intensity 100
29.57 deg, intensity 93
31.62 deg, intensity 53
33.14 deg, intensity 88
36.29 deg, intensity 21
46.46 deg, intensity 62
51.10 deg, intensity 24
55.03 deg, intensity 24
58.61 deg, intensity 22
61.35 deg, intensity 25
67.14 deg, intensity 24

Atomic structure:
```
data_PmSmY2Sc
_symmetry_space_group_name_H-M 'P 1'
_symmetry_Int_Tables_number 1
_symmetry_space_group_name_Hall 'P 1'
_cell_length_a 7.0089
_cell_length_b 7.0089
_cell_length_c 7.1451
_cell_angle_alpha 90.00
_cell_angle_beta 90.00
_cell_angle_gamma 107.70
loop_
_atom_site_label
_atom_site_fract_x
_atom_site_fract_y
_atom_site_fract_z
Pm1 0.2336 0.7664 0.7500
Pm2 0.7664 0.2336 0.2500
Sm1 0.2348 0.7652 0.2500
Sm2 0.7652 0.2348 0.7500
Y1 0.1977 0.1977 0.0000
Y2 0.1977 0.1977 0.5000
Y3 0.8023 0.8023 0.0000
Y4 0.8023 0.8023 0.5000
Sc1 0.4986 0.5014 0.7500
Sc2 0.5014 0.4986 0.2500
```


This entry pairs a crystal structure of Pm4ScSn3 with its theoretical X-ray powder pattern. Radiation: Cu Ka. Structure: a DFT-relaxed cell (PBE, Alexandria).
Neutral-atom scattering factors, no anomalous dispersion.

Principal peaks in the range 2θ from 15° to 90°, by angle:
29.11 deg, intensity 36
30.14 deg, intensity 89
32.67 deg, intensity 36
32.80 deg, intensity 56
33.60 deg, intensity 100
35.91 deg, intensity 30
42.50 deg, intensity 27
52.26 deg, intensity 19
54.53 deg, intensity 25
61.64 deg, intensity 30
62.68 deg, intensity 20
67.27 deg, intensity 12

Atomic structure:
```
data_Pm4ScSn3
_symmetry_space_group_name_H-M 'P 1'
_symmetry_Int_Tables_number 1
_symmetry_space_group_name_Hall 'P 1'
_cell_length_a 9.1628
_cell_length_b 9.1628
_cell_length_c 9.1628
_cell_angle_alpha 96.43
_cell_angle_beta 96.43
_cell_angle_gamma 140.88
loop_
_atom_site_label
_atom_site_fract_x
_atom_site_fract_y
_atom_site_fract_z
Pm1 0.0853 0.7794 0.8647
Pm2 0.2206 0.0853 0.3059
Pm3 0.2794 0.5853 0.8647
Pm4 0.4147 0.2794 0.6941
Pm5 0.5853 0.7206 0.3059
Pm6 0.7206 0.4147 0.1353
Pm7 0.7794 0.9147 0.6941
Pm8 0.9147 0.2206 0.1353
Sc1 0.2500 0.7500 0.5000
Sc2 0.7500 0.2500 0.5000
Sn1 0.1527 0.3473 0.5000
Sn2 0.2500 0.2500 0.0000
Sn3 0.3473 0.8473 0.1946
Sn4 0.6527 0.1527 0.8054
Sn5 0.7500 0.7500 0.0000
Sn6 0.8473 0.6527 0.5000
```